Starting from the GGA-PBE geometry in the Materials Project, the powder diffraction line list of HfCuHg2 was calculated for a wavelength of 1.5418 Å.
No peak broadening, texture or thermal motion is included.

Structural model:
```
HfCuHg2
1.0
0.0000 3.3604 3.3604
3.3604 0.0000 3.3604
3.3604 3.3604 0.0000
Hf Cu Hg
1 1 2
Cartesian
0.0000 0.0000 0.0000
1.6802 1.6802 1.6802
3.3604 3.3604 3.3604
5.0407 5.0407 5.0407
```

Largest 8 diffraction maxima, sorted by position, 2θ from 15° to 90°:
2θ (°), d (Å), I (rel.)
22.92, 3.880, 10
26.52, 3.360, 3
37.86, 2.376, 100
44.72, 2.026, 6
54.62, 1.680, 17
60.00, 1.542, 2
68.38, 1.372, 36
80.91, 1.188, 11


Starting from the GGA-PBE geometry in the Materials Project, the powder diffraction line list of Hf2InCu2 was calculated for a wavelength of 1.5418 Å.
No peak broadening, texture or thermal motion is included.

Structural model:
```
Hf2InCu2
1.0
7.1665 0.0000 0.0000
0.0000 7.1665 0.0000
0.0000 0.0000 6.8925
Hf In Cu
8 4 8
Cartesian
1.1226 1.1226 0.0000
1.3308 1.3308 3.4463
2.2525 4.9140 0.0000
2.4606 4.7059 3.4463
4.7059 2.4606 3.4463
4.9140 2.2525 0.0000
5.8358 5.8358 3.4463
6.0439 6.0439 0.0000
0.0000 3.5833 1.7231
0.0000 3.5833 5.1694
3.5833 0.0000 1.7231
3.5833 0.0000 5.1694
0.8868 6.2797 1.9319
0.8868 6.2797 4.9606
2.6964 2.6964 1.5144
2.6964 2.6964 5.3781
4.4701 4.4701 1.5144
4.4701 4.4701 5.3781
6.2797 0.8868 1.9319
6.2797 0.8868 4.9606
```

Largest 8 diffraction maxima, sorted by position, 2θ from 15° to 90°:
2θ (°), d (Å), I (rel.)
27.84, 3.205, 23
36.16, 2.484, 48
38.35, 2.347, 100
39.78, 2.266, 46
53.16, 1.723, 15
59.57, 1.552, 17
61.08, 1.517, 24
68.39, 1.372, 16


Starting from the GGA-PBE geometry in the Materials Project, the powder diffraction line list of HfInCu2 was calculated for a wavelength of 1.5418 Å.
No peak broadening, texture or thermal motion is included.

Structural model:
```
HfInCu2
1.0
3.2048 0.0000 0.0000
0.0000 3.2048 0.0000
0.0000 0.0000 6.5928
Hf In Cu
1 1 2
Cartesian
0.0000 0.0000 0.0000
0.0000 0.0000 3.2964
1.6024 1.6024 1.6285
1.6024 1.6024 4.9643
```

Largest 8 diffraction maxima, sorted by position, 2θ from 15° to 90°:
2θ (°), d (Å), I (rel.)
27.84, 3.205, 16
39.21, 2.298, 100
39.78, 2.266, 48
55.77, 1.648, 9
57.51, 1.602, 16
70.67, 1.333, 17
71.82, 1.314, 32
84.29, 1.149, 10